The following is a computed X-ray diffraction stick pattern of TmLuSbC. It was derived from a DFT-relaxed cell (PBE, OQMD), using copper Kα.
Neutral-atom scattering factors, no anomalous dispersion.

Cell and atoms:
a b c (Å): 3.590 3.590 14.895
angles (deg): 90.00 90.00 120.00
Atoms (fractional coordinates):
Tm 0.333 0.667 0.413
Tm 0.667 0.333 0.587
Lu 0.333 0.667 0.085
Lu 0.667 0.333 0.915
Sb 0.333 0.667 0.752
Sb 0.667 0.333 0.248
C 0.000 0.000 0.000
C 0.000 0.000 0.500

Most intense lines, 2θ from 15° to 90°, sorted by position:
d [Å]	Rel. int.
3.109	23.5
2.635	100.0
2.482	17.8
1.940	14.7
1.795	22.3
1.483	17.2
1.461	16.0
1.454	20.6
1.143	15.1
1.133	7.2

---

The following is a computed X-ray diffraction stick pattern of Li2DyPt2. It was derived from a DFT-relaxed cell (PBE, OQMD), using copper Kα.
Neutral-atom scattering factors, no anomalous dispersion.

Cell and atoms:
a b c (Å): 6.140 6.140 6.140
angles (deg): 122.60 97.12 109.71
Atoms (fractional coordinates):
Li 0.137 0.000 0.137
Li 0.363 0.500 0.863
Li 0.637 0.500 0.137
Li 0.863 0.000 0.863
Dy 0.001 0.501 0.500
Dy 0.501 0.001 0.500
Pt 0.001 0.501 0.002
Pt 0.499 0.999 0.998
Pt 0.501 0.499 0.500
Pt 0.999 0.001 0.500

Most intense lines, 2θ from 15° to 90°, sorted by position:
d [Å]	Rel. int.
4.773	34.5
4.064	24.9
2.840	19.1
2.667	100.0
2.386	73.5
2.264	66.0
2.032	22.3
1.512	35.1
1.420	29.3
1.290	21.4

---

The following is a computed X-ray diffraction stick pattern of Zr4SbC2Se. It was derived from a DFT-relaxed cell (PBE, OQMD), using copper Kα.
Neutral-atom scattering factors, no anomalous dispersion.

Cell and atoms:
a b c (Å): 3.465 3.465 13.386
angles (deg): 90.00 90.00 120.00
Atoms (fractional coordinates):
Zr 0.000 0.000 0.146
Zr 0.000 0.000 0.854
Zr 0.667 0.333 0.329
Zr 0.667 0.333 0.671
Sb 0.000 0.000 0.500
C 0.333 0.667 0.238
C 0.333 0.667 0.762
Se 0.667 0.333 0.000

Most intense lines, 2θ from 15° to 90°, sorted by position:
d [Å]	Rel. int.
3.001	25.5
2.738	4.9
2.490	100.0
2.231	13.7
1.790	11.7
1.733	24.2
1.422	16.6
1.368	15.9
1.333	8.9
1.099	14.8

---

The following is a computed X-ray diffraction stick pattern of Ho8Re. It was derived from a DFT-relaxed cell (PBE, OQMD), using copper Kα.
Neutral-atom scattering factors, no anomalous dispersion.

Cell and atoms:
a b c (Å): 8.993 8.993 3.691
angles (deg): 90.00 90.00 120.00
Atoms (fractional coordinates):
Ho 0.000 0.246 0.000
Ho 0.000 0.634 0.500
Ho 0.246 0.000 0.000
Ho 0.333 0.667 0.000
Ho 0.366 0.366 0.500
Ho 0.634 0.000 0.500
Ho 0.667 0.333 0.000
Ho 0.754 0.754 0.000
Re 0.000 0.000 0.500

Most intense lines, 2θ from 15° to 90°, sorted by position:
d [Å]	Rel. int.
2.944	45.5
2.853	100.0
2.679	59.6
2.596	78.6
2.301	60.4
1.845	18.3
1.608	34.7
1.564	13.9
1.544	19.3
1.504	29.8

---

The following is a computed X-ray diffraction stick pattern of Ba6Nb3HO14. It was derived from a DFT-relaxed cell (PBE, OQMD), using copper Kα.
Neutral-atom scattering factors, no anomalous dispersion.

Cell and atoms:
a b c (Å): 5.979 12.653 10.474
angles (deg): 90.00 90.00 90.00
Atoms (fractional coordinates):
Ba 0.000 0.009 0.000
Ba 0.000 0.176 0.330
Ba 0.000 0.343 0.928
Ba 0.000 0.591 0.666
Ba 0.000 0.667 0.046
Ba 0.000 0.858 0.321
Ba 0.500 0.142 0.821
Ba 0.500 0.333 0.546
Ba 0.500 0.409 0.166
Ba 0.500 0.657 0.428
Ba 0.500 0.824 0.830
Ba 0.500 0.991 0.500
Nb 0.000 0.094 0.657
Nb 0.000 0.502 0.318
Nb 0.000 0.856 0.664
Nb 0.500 0.144 0.164
Nb 0.500 0.498 0.818
Nb 0.500 0.906 0.157
H 0.000 0.318 0.643
H 0.500 0.682 0.143
O 0.000 0.159 0.822
O 0.000 0.391 0.673
O 0.000 0.459 0.146
O 0.000 0.650 0.338
O 0.000 0.776 0.819
O 0.000 0.977 0.515
O 0.230 0.974 0.737
O 0.239 0.780 0.583
O 0.240 0.551 0.890
O 0.243 0.165 0.577
O 0.257 0.835 0.077
O 0.260 0.449 0.390
O 0.261 0.220 0.083
O 0.270 0.026 0.237
O 0.500 0.023 0.015
O 0.500 0.224 0.319
O 0.500 0.350 0.838
O 0.500 0.541 0.646
O 0.500 0.609 0.173
O 0.500 0.841 0.322
O 0.730 0.026 0.237
O 0.739 0.220 0.083
O 0.740 0.449 0.390
O 0.743 0.835 0.077
O 0.757 0.165 0.577
O 0.760 0.551 0.890
O 0.761 0.780 0.583
O 0.770 0.974 0.737

Most intense lines, 2θ from 15° to 90°, sorted by position:
d [Å]	Rel. int.
3.761	14.2
3.344	10.7
3.277	100.0
3.015	67.2
2.990	45.0
2.211	31.2
2.128	10.2
1.955	15.9
1.776	11.7
1.730	18.9

---

The following is a computed X-ray diffraction stick pattern of Zr5CuSn3. It was derived from a DFT-relaxed cell (PBE, OQMD), using copper Kα.
Neutral-atom scattering factors, no anomalous dispersion.

Cell and atoms:
a b c (Å): 8.677 8.677 5.882
angles (deg): 90.00 90.00 120.00
Atoms (fractional coordinates):
Zr 0.000 0.265 0.250
Zr 0.000 0.735 0.750
Zr 0.265 0.000 0.250
Zr 0.265 0.265 0.750
Zr 0.333 0.667 0.000
Zr 0.333 0.667 0.500
Zr 0.667 0.333 0.000
Zr 0.667 0.333 0.500
Zr 0.735 0.000 0.750
Zr 0.735 0.735 0.250
Cu 0.000 0.000 0.000
Cu 0.000 0.000 0.500
Sn 0.000 0.385 0.750
Sn 0.000 0.615 0.250
Sn 0.385 0.000 0.750
Sn 0.385 0.385 0.250
Sn 0.615 0.000 0.250
Sn 0.615 0.615 0.750

Most intense lines, 2θ from 15° to 90°, sorted by position:
d [Å]	Rel. int.
2.941	14.9
2.558	75.7
2.505	83.5
2.434	100.0
1.964	22.3
1.746	24.4
1.613	18.5
1.432	13.4
1.380	13.5
1.268	19.2

---

The following is a computed X-ray diffraction stick pattern of Pr2YP3. It was derived from a DFT-relaxed cell (PBE, OQMD), using copper Kα.
Neutral-atom scattering factors, no anomalous dispersion.

Cell and atoms:
a b c (Å): 4.142 4.142 10.128
angles (deg): 90.00 90.00 120.00
Atoms (fractional coordinates):
Pr 0.333 0.667 0.329
Pr 0.667 0.333 0.671
Y 0.000 0.000 0.000
P 0.000 0.000 0.500
P 0.333 0.667 0.843
P 0.667 0.333 0.157

Most intense lines, 2θ from 15° to 90°, sorted by position:
d [Å]	Rel. int.
3.380	71.0
2.927	100.0
2.070	72.6
1.765	34.0
1.690	25.1
1.464	11.8
1.344	10.4
1.309	31.6
1.195	18.1
1.127	10.0

---

The following is a computed X-ray diffraction stick pattern of Na4Ag2AsP. It was derived from a DFT-relaxed cell (PBE, OQMD), using copper Kα.
Neutral-atom scattering factors, no anomalous dispersion.

Cell and atoms:
a b c (Å): 8.726 7.266 5.642
angles (deg): 90.00 90.05 90.00
Atoms (fractional coordinates):
Na 0.176 0.000 0.498
Na 0.177 0.290 0.002
Na 0.323 0.790 0.998
Na 0.324 0.500 0.502
Na 0.676 0.500 0.498
Na 0.677 0.790 0.002
Na 0.823 0.290 0.998
Na 0.824 0.000 0.502
Ag 0.000 0.654 0.250
Ag 0.000 0.654 0.750
Ag 0.500 0.154 0.250
Ag 0.500 0.154 0.750
As 0.000 0.360 0.500
As 0.500 0.860 0.500
P 0.000 0.930 0.000
P 0.500 0.430 0.000

Most intense lines, 2θ from 15° to 90°, sorted by position:
d [Å]	Rel. int.
5.584	100.0
4.363	69.7
2.700	36.8
2.518	69.3
2.436	26.3
2.334	39.7
2.228	36.4
1.984	39.8
1.559	21.0
1.454	19.5

---

The following is a computed X-ray diffraction stick pattern of Tb3Co11B4. It was derived from a DFT-relaxed cell (PBE, OQMD), using copper Kα.
Neutral-atom scattering factors, no anomalous dispersion.

Cell and atoms:
a b c (Å): 5.035 5.035 9.732
angles (deg): 90.00 90.00 120.00
Atoms (fractional coordinates):
Tb 0.000 0.000 0.000
Tb 0.000 0.000 0.342
Tb 0.000 0.000 0.658
Co 0.000 0.500 0.203
Co 0.000 0.500 0.500
Co 0.000 0.500 0.797
Co 0.333 0.667 0.000
Co 0.500 0.000 0.203
Co 0.500 0.000 0.500
Co 0.500 0.000 0.797
Co 0.500 0.500 0.203
Co 0.500 0.500 0.500
Co 0.500 0.500 0.797
Co 0.667 0.333 0.000
B 0.333 0.667 0.350
B 0.333 0.667 0.650
B 0.667 0.333 0.350
B 0.667 0.333 0.650

Most intense lines, 2θ from 15° to 90°, sorted by position:
d [Å]	Rel. int.
4.361	24.1
2.603	100.0
2.518	29.5
2.180	90.2
1.989	93.9
1.469	34.2
1.364	15.3
1.326	23.1
1.301	15.1
1.259	21.7

---

The following is a computed X-ray diffraction stick pattern of La3Zn2Cu2Si4. It was derived from a DFT-relaxed cell (PBE, OQMD), using copper Kα.
Neutral-atom scattering factors, no anomalous dispersion.

Cell and atoms:
a b c (Å): 12.661 12.661 12.661
angles (deg): 160.91 160.69 27.28
Atoms (fractional coordinates):
La 0.000 0.000 0.000
La 0.146 0.646 0.500
La 0.854 0.354 0.500
Zn 0.250 0.250 0.000
Zn 0.750 0.750 0.000
Cu 0.406 0.906 0.500
Cu 0.594 0.094 0.500
Si 0.310 0.810 0.500
Si 0.451 0.451 0.000
Si 0.549 0.549 0.000
Si 0.690 0.190 0.500

Most intense lines, 2θ from 15° to 90°, sorted by position:
d [Å]	Rel. int.
3.738	21.6
2.708	37.7
2.686	100.0
2.123	20.5
2.100	19.8
1.974	17.7
1.659	17.0
1.493	12.9
1.446	12.6
1.300	10.4